For Ti7In4Sn, a DFT-relaxed cell (PBE, Alexandria) gives the computed powder X-ray diffraction pattern in this record (copper Kα).

Structural model:
abc: 10.393 5.138 10.704
angles: 90.00 118.95 90.00
Space group C2/m (No. 12)
Symmetry-distinct sites (fractional):
Ti  0.000  0.000  0.000 [2 per cell]
Ti  0.033  0.500  0.380 [4 per cell]
Ti  0.141  0.000  0.532 [4 per cell]
Ti  0.212  0.500  0.915 [4 per cell]
In  0.094  0.000  0.777 [4 per cell]
In  0.225  0.000  0.316 [4 per cell]
Sn  0.000  0.500  0.000 [2 per cell]

Largest 10 diffraction maxima, by angle, 10° ≤ 2θ ≤ 80°:
2θ (°)  d/Å  Rel. int.  (hkl)
24.01  3.706  81  1 1 -2
25.59  3.481  28  2 0 1
31.51  2.840  39  3 1 -1
33.49  2.676  41  2 0 -4
34.93  2.569  100  0 2 0
35.88  2.503  85  4 0 -3
38.93  2.313  94  1 1 -4
39.51  2.281  77  3 1 1
49.17  1.853  27  2 2 -4
50.94  1.793  60  4 2 -3

For TlIn6Sn3, a DFT-relaxed cell (PBE, Alexandria) gives the computed powder X-ray diffraction pattern in this record (copper Kα).

Structural model:
abc: 9.627 13.297 4.581
angles: 90.00 90.00 90.00
Space group Pnnm (No. 58)
Symmetry-distinct sites (fractional):
Tl  0.000  0.000  0.000 [2 per cell]
In  0.044  0.332  0.000 [4 per cell]
In  0.067  0.832  0.500 [4 per cell]
In  0.237  0.265  0.500 [4 per cell]
Sn  0.000  0.500  0.500 [2 per cell]
Sn  0.242  0.534  0.000 [4 per cell]

Largest 10 diffraction maxima, by angle, 10° ≤ 2θ ≤ 80°:
2θ (°)  d/Å  Rel. int.  (hkl)
27.71  3.220  25  2 1 1
28.01  3.185  26  0 3 1
28.41  3.142  15  1 4 0
33.74  2.656  100  2 3 1
34.80  2.578  41  3 1 1
37.37  2.407  16  4 0 0
39.34  2.290  30  0 0 2
40.32  2.237  22  1 5 1
45.04  2.013  16  2 6 0
62.97  1.476  15  5 5 1

For Tl4In3Sn4, a DFT-relaxed cell (PBE, Alexandria) gives the computed powder X-ray diffraction pattern in this record (copper Kα).

Structural model:
abc: 3.329 5.144 18.756
angles: 82.57 84.97 88.37
Space group P1 (No. 1)
Symmetry-distinct sites (fractional):
Tl  0.000  0.000  0.000 [1 per cell]
Tl  0.096  0.820  0.361 [1 per cell]
Tl  0.276  0.634  0.731 [1 per cell]
Tl  0.818  0.186  0.630 [1 per cell]
In  0.052  0.910  0.180 [1 per cell]
In  0.526  0.546  0.913 [1 per cell]
In  0.569  0.274  0.448 [1 per cell]
Sn  0.337  0.731  0.543 [1 per cell]
Sn  0.509  0.454  0.094 [1 per cell]
Sn  0.590  0.366  0.267 [1 per cell]
Sn  0.758  0.089  0.818 [1 per cell]

Largest 10 diffraction maxima, by angle, 10° ≤ 2θ ≤ 80°:
2θ (°)  d/Å  Rel. int.  (hkl)
31.61  2.830  100  0 1 -5
31.90  2.805  85  0 1 6
31.95  2.802  75  1 1 0
32.84  2.728  70  -1 1 1
34.74  2.582  56  1 0 5
34.90  2.571  67  0 2 1
41.62  2.170  34  1 0 -6
49.65  1.836  20  1 2 6
50.48  1.808  20  1 -2 4
56.16  1.638  23  -1 2 7

For Tl2In8Sn3, a DFT-relaxed cell (PBE, Alexandria) gives the computed powder X-ray diffraction pattern in this record (copper Kα).

Structural model:
abc: 18.367 6.478 6.330
angles: 90.00 95.74 90.00
Space group C2/m (No. 12)
Symmetry-distinct sites (fractional):
Tl  0.171  0.000  0.297 [4 per cell]
In  0.071  0.500  0.386 [4 per cell]
In  0.142  0.255  0.781 [8 per cell]
In  0.217  0.500  0.189 [4 per cell]
Sn  0.000  0.000  0.500 [2 per cell]
Sn  0.000  0.239  0.000 [4 per cell]

Largest 10 diffraction maxima, by angle, 10° ≤ 2θ ≤ 80°:
2θ (°)  d/Å  Rel. int.  (hkl)
29.31  3.048  24  6 0 0
30.34  2.946  49  5 1 -1
30.98  2.886  71  2 0 2
31.32  2.856  23  6 0 -1
33.03  2.712  100  2 2 1
33.68  2.661  24  3 1 -2
36.09  2.489  18  4 2 -1
37.13  2.421  18  7 1 0
57.64  1.599  23  4 2 3
68.33  1.373  16  12 2 -1

For Tl4In4Sn, a DFT-relaxed cell (PBE, Alexandria) gives the computed powder X-ray diffraction pattern in this record (copper Kα).

Structural model:
abc: 9.940 9.940 5.253
angles: 90.00 90.00 90.00
Space group I4/mmm (No. 139)
Symmetry-distinct sites (fractional):
Tl  0.167  0.167  0.000 [8 per cell]
In  0.000  0.336  0.500 [8 per cell]
Sn  0.000  0.000  0.500 [2 per cell]

Largest 10 diffraction maxima, by angle, 10° ≤ 2θ ≤ 80°:
2θ (°)  d/Å  Rel. int.  (hkl)
19.11  4.644  5  1 0 1
31.93  2.802  100  3 0 1
34.14  2.626  21  0 0 2
38.42  2.343  30  3 3 0
52.33  1.748  25  3 3 2
55.46  1.657  10  6 0 0
59.73  1.548  17  3 0 3
65.44  1.426  25  6 3 1
66.76  1.401  12  6 0 2
71.89  1.313  3  0 0 4

For Tl3In8Sn3, a DFT-relaxed cell (PBE, Alexandria) gives the computed powder X-ray diffraction pattern in this record (copper Kα).

Structural model:
abc: 4.636 13.205 13.299
angles: 90.00 90.00 90.00
Space group Immm (No. 71)
Symmetry-distinct sites (fractional):
Tl  0.000  0.000  0.000 [2 per cell]
Tl  0.000  0.000  0.287 [4 per cell]
In  0.000  0.288  0.157 [8 per cell]
In  0.000  0.375  0.373 [8 per cell]
Sn  0.000  0.166  0.500 [4 per cell]
Sn  0.000  0.500  0.000 [2 per cell]

Largest 10 diffraction maxima, by angle, 10° ≤ 2θ ≤ 80°:
2θ (°)  d/Å  Rel. int.  (hkl)
27.95  3.192  30  1 3 0
30.09  2.969  17  0 2 4
31.04  2.881  100  1 2 3
33.87  2.647  34  1 1 4
34.01  2.636  33  1 4 1
38.85  2.318  30  2 0 0
39.73  2.269  12  0 5 3
59.58  1.552  20  1 4 7
63.39  1.467  11  1 8 3
65.53  1.425  12  3 2 3

For Tl7In5Sn, a DFT-relaxed cell (PBE, Alexandria) gives the computed powder X-ray diffraction pattern in this record (copper Kα).

Structural model:
abc: 14.436 10.708 5.392
angles: 90.00 110.62 90.00
Space group Cm (No. 8)
Symmetry-distinct sites (fractional):
Tl  0.000  0.000  0.000 [2 per cell]
Tl  0.094  0.500  0.107 [2 per cell]
Tl  0.255  0.500  0.765 [2 per cell]
Tl  0.373  0.173  0.879 [4 per cell]
Tl  0.378  0.352  0.384 [4 per cell]
In  0.082  0.290  0.591 [4 per cell]
In  0.162  0.000  0.660 [2 per cell]
In  0.189  0.184  0.192 [4 per cell]
Sn  0.391  0.000  0.397 [2 per cell]

Largest 10 diffraction maxima, by angle, 10° ≤ 2θ ≤ 80°:
2θ (°)  d/Å  Rel. int.  (hkl)
26.39  3.378  19  4 0 0
30.54  2.927  36  2 2 1
31.04  2.881  39  4 2 -1
32.04  2.793  37  3 1 1
32.72  2.737  100  1 3 1
33.04  2.711  67  3 3 -1
33.24  2.695  69  2 0 -2
34.22  2.620  18  5 1 0
51.18  1.785  19  0 6 0
58.87  1.569  17  1 3 -3

For TlInSn6, a DFT-relaxed cell (PBE, Alexandria) gives the computed powder X-ray diffraction pattern in this record (copper Kα).

Structural model:
abc: 5.338 7.057 11.923
angles: 90.00 90.00 90.00
Space group Amm2 (No. 38)
Symmetry-distinct sites (fractional):
Tl  0.000  0.000  0.000 [2 per cell]
In  0.500  0.000  0.720 [2 per cell]
Sn  0.000  0.000  0.559 [2 per cell]
Sn  0.000  0.223  0.273 [4 per cell]
Sn  0.500  0.000  0.168 [2 per cell]
Sn  0.500  0.219  0.442 [4 per cell]

Largest 10 diffraction maxima, by angle, 10° ≤ 2θ ≤ 80°:
2θ (°)  d/Å  Rel. int.  (hkl)
29.42  3.036  22  0 2 2
29.98  2.981  12  0 0 4
30.78  2.905  24  1 1 3
33.58  2.669  38  2 0 0
33.97  2.639  100  1 2 2
34.46  2.602  38  1 0 4
45.23  2.005  14  2 2 2
52.88  1.731  11  0 2 6
60.29  1.535  20  3 2 2
64.11  1.453  12  2 2 6

For Tl5In4Sn4, a DFT-relaxed cell (PBE, Alexandria) gives the computed powder X-ray diffraction pattern in this record (copper Kα).

Structural model:
abc: 12.569 12.569 4.755
angles: 90.00 90.00 90.00
Space group I4/m (No. 87)
Symmetry-distinct sites (fractional):
Tl  0.000  0.000  0.000 [2 per cell]
Tl  0.036  0.197  0.500 [8 per cell]
In  0.157  0.764  0.000 [8 per cell]
Sn  0.074  0.389  0.000 [8 per cell]

Largest 10 diffraction maxima, by angle, 10° ≤ 2θ ≤ 80°:
2θ (°)  d/Å  Rel. int.  (hkl)
24.52  3.630  3  2 1 1
31.83  2.811  100  3 2 1
36.45  2.465  34  1 5 0
37.84  2.377  16  0 0 2
52.50  1.743  13  6 4 0
53.55  1.711  23  1 5 2
62.72  1.481  28  8 1 1
64.59  1.443  13  3 2 3
66.52  1.406  12  6 4 2
77.43  1.233  4  2 10 0

For Tl17In11Sn, a DFT-relaxed cell (PBE, Alexandria) gives the computed powder X-ray diffraction pattern in this record (copper Kα).

Structural model:
abc: 12.020 16.880 10.404
angles: 90.00 125.15 90.00
Space group Cm (No. 8)
Symmetry-distinct sites (fractional):
Tl  0.000  0.000  0.000 [2 per cell]
Tl  0.001  0.000  0.643 [2 per cell]
Tl  0.057  0.340  0.039 [4 per cell]
Tl  0.143  0.500  0.285 [2 per cell]
Tl  0.161  0.159  0.245 [4 per cell]
Tl  0.179  0.179  0.641 [4 per cell]
Tl  0.183  0.500  0.927 [2 per cell]
Tl  0.302  0.301  0.962 [4 per cell]
Tl  0.399  0.000  0.362 [2 per cell]
Tl  0.463  0.142  0.643 [4 per cell]
Tl  0.484  0.198  0.324 [4 per cell]
In  0.005  0.183  0.829 [4 per cell]
In  0.225  0.410  0.645 [4 per cell]
In  0.276  0.093  0.011 [4 per cell]
In  0.316  0.315  0.455 [4 per cell]
In  0.371  0.000  0.824 [2 per cell]
In  0.407  0.406  0.275 [4 per cell]
Sn  0.185  0.000  0.463 [2 per cell]

Largest 10 diffraction maxima, by angle, 10° ≤ 2θ ≤ 80°:
2θ (°)  d/Å  Rel. int.  (hkl)
29.79  2.999  9  0 4 2
31.60  2.831  100  3 3 0
31.70  2.823  55  3 3 -3
31.81  2.813  11  0 6 0
35.00  2.564  13  3 1 1
35.18  2.551  13  3 5 -2
56.19  1.637  9  7 1 -2
56.29  1.634  19  2 6 3
56.42  1.631  10  2 6 -5
56.54  1.628  11  2 8 -4

For TlIn3Sn, a DFT-relaxed cell (PBE, Alexandria) gives the computed powder X-ray diffraction pattern in this record (copper Kα).

Structural model:
abc: 15.130 10.747 7.698
angles: 90.00 109.94 90.00
Space group C2/c (No. 15)
Symmetry-distinct sites (fractional):
Tl  0.000  0.013  0.250 [4 per cell]
Tl  0.000  0.355  0.750 [4 per cell]
In  0.168  0.161  0.615 [8 per cell]
In  0.177  0.466  0.595 [8 per cell]
In  0.184  0.138  0.034 [8 per cell]
Sn  0.098  0.309  0.240 [8 per cell]

Largest 10 diffraction maxima, by angle, 10° ≤ 2θ ≤ 80°:
2θ (°)  d/Å  Rel. int.  (hkl)
28.57  3.124  24  4 0 -2
29.12  3.067  26  4 2 -1
30.74  2.909  17  5 1 -1
31.31  2.857  100  2 0 2
34.26  2.617  61  1 3 -2
36.55  2.458  11  3 1 -3
37.96  2.371  13  6 0 0
47.41  1.918  12  2 0 -4
50.29  1.814  9  7 3 -2
59.54  1.553  13  1 3 4

For Tl8In3Sn2, a DFT-relaxed cell (PBE, Alexandria) gives the computed powder X-ray diffraction pattern in this record (copper Kα).

Structural model:
abc: 11.329 9.434 8.940
angles: 90.00 121.64 90.00
Space group C2/m (No. 12)
Symmetry-distinct sites (fractional):
Tl  0.086  0.000  0.224 [4 per cell]
Tl  0.137  0.500  0.357 [4 per cell]
Tl  0.148  0.293  0.715 [8 per cell]
In  0.000  0.000  0.500 [2 per cell]
In  0.000  0.294  0.000 [4 per cell]
Sn  0.240  0.500  0.051 [4 per cell]

Largest 10 diffraction maxima, by angle, 10° ≤ 2θ ≤ 80°:
2θ (°)  d/Å  Rel. int.  (hkl)
24.64  3.613  25  2 2 -1
28.19  3.165  39  2 2 -2
31.86  2.809  22  4 0 -2
32.54  2.751  18  4 0 -1
32.79  2.732  100  2 2 1
35.41  2.535  17  4 0 -3
35.64  2.519  20  2 2 -3
38.16  2.359  18  0 4 0
38.31  2.349  23  3 3 -2
58.69  1.573  19  1 5 -3

Copy entry 9 word for word.
For Tl5In4Sn4, a DFT-relaxed cell (PBE, Alexandria) gives the computed powder X-ray diffraction pattern in this record (copper Kα).

Structural model:
abc: 12.569 12.569 4.755
angles: 90.00 90.00 90.00
Space group I4/m (No. 87)
Symmetry-distinct sites (fractional):
Tl  0.000  0.000  0.000 [2 per cell]
Tl  0.036  0.197  0.500 [8 per cell]
In  0.157  0.764  0.000 [8 per cell]
Sn  0.074  0.389  0.000 [8 per cell]

Largest 10 diffraction maxima, by angle, 10° ≤ 2θ ≤ 80°:
2θ (°)  d/Å  Rel. int.  (hkl)
24.52  3.630  3  2 1 1
31.83  2.811  100  3 2 1
36.45  2.465  34  1 5 0
37.84  2.377  16  0 0 2
52.50  1.743  13  6 4 0
53.55  1.711  23  1 5 2
62.72  1.481  28  8 1 1
64.59  1.443  13  3 2 3
66.52  1.406  12  6 4 2
77.43  1.233  4  2 10 0